Computed X-ray powder pattern of Rb2FePF6 for Cu Kα, from the GGA+U geometry in Alexandria.
Kinematic intensities with the Lorentz-polarization factor, no thermal factor.

Atomic structure:
Lattice parameters (Å, degrees): 6.6310 6.6310 6.6310 127.74 127.74 77.04
Fractional coordinates of all 10 atoms:
Rb (0.2500, 0.7500, 0.5000)
Rb (0.7500, 0.2500, 0.5000)
Fe (0.0000, 0.0000, 0.0000)
P (0.5000, 0.5000, 0.0000)
F (0.1895, 0.1895, 0.0000)
F (0.2645, 0.2645, 0.5290)
F (0.2645, 0.7355, 0.0000)
F (0.7355, 0.2645, 0.0000)
F (0.7355, 0.7355, 0.4710)
F (0.8105, 0.8105, 0.0000)

Main lines, low angle first (2θ from 15° to 90°):
Position (°2θ), intensity
27.6, 100
30.6, 35
34.6, 29
35.3, 34
43.8, 35
46.8, 15
52.6, 31
57.0, 24
57.8, 17
75.3, 15